# 1
Diffraction record for Ho2TmPuSc4. The powder XRD pattern is computed, not measured: it uses the GGA-PBE geometry in Alexandria and a wavelength of 1.5418 Å.
Neutral-atom scattering factors, no anomalous dispersion.

Peak list (8 most intense, 10 to 90 degrees two-theta, sorted by position)
two_theta	Rel. int.	index
21.5	96	0 2 2
28.9	65	0 0 4
31.2	39	2 0 2
32.0	100	2 2 0
32.2	50	0 4 0
43.7	84	2 2 4
43.8	42	0 4 4
45.4	29	2 4 2

Cell and atoms:
```
data_Ho2TmPuSc4
_chemical_formula_sum 'Ho8 Tm4 Pu4 Sc16'
_symmetry_space_group_name_H-M 'I m m a'
_symmetry_Int_Tables_number 74
_symmetry_space_group_name_Hall '-I 2b 2'
_cell_length_a 6.4666
_cell_length_b 11.1342
_cell_length_c 12.3486
_cell_angle_alpha 90.00
_cell_angle_beta 90.00
_cell_angle_gamma 90.00
loop_
_atom_site_label
_atom_site_fract_x
_atom_site_fract_y
_atom_site_fract_z
Ho1 0.0000 0.0000 0.0000
Ho2 0.2500 0.2500 0.2500
Tm1 0.2500 0.2500 0.7500
Pu1 0.0000 0.0000 0.5000
Sc1 0.0000 0.0010 0.7373
Sc2 0.2346 0.2500 0.5012
```

---

# 2
Diffraction record for HoPu3Se6. The powder XRD pattern is computed, not measured: it uses the GGA-PBE geometry in Alexandria and a wavelength of 1.5418 Å.
Neutral-atom scattering factors, no anomalous dispersion.

Peak list (8 most intense, 10 to 90 degrees two-theta, sorted by position)
two_theta	Rel. int.	index
22.2	73	1 0 -3
23.3	98	3 0 -1
25.2	100	1 1 1
29.7	97	2 1 1
32.9	79	3 1 0
40.6	89	4 1 -3
41.4	52	1 1 4
43.9	72	0 2 0

Cell and atoms:
```
data_HoPu3Se6
_chemical_formula_sum 'Ho2 Pu6 Se12'
_symmetry_space_group_name_H-M 'P 1 21/m 1'
_symmetry_Int_Tables_number 11
_cell_length_a 11.4521
_cell_length_b 4.1224
_cell_length_c 12.0161
_cell_angle_alpha 90.00
_cell_angle_beta 108.16
_cell_angle_gamma 90.00
loop_
_symmetry_equiv_pos_as_xyz
'x,y,z'
'-x,-y,-z'
'-x,y+1/2,-z'
'x,-y+1/2,z'
loop_
_atom_site_label
_atom_site_fract_x
_atom_site_fract_y
_atom_site_fract_z
Ho1 0.0425 0.2500 0.1895
Pu1 0.1572 0.2500 0.5805
Pu2 0.3194 0.7500 0.9982
Pu3 0.4267 0.2500 0.3346
Se1 0.0863 0.7500 0.4012
Se2 0.1101 0.2500 0.9625
Se3 0.1869 0.7500 0.7479
Se4 0.2480 0.7500 0.2198
Se5 0.4001 0.2500 0.5645
Se6 0.4849 0.2500 0.1182
```

---

# 3
Diffraction record for Ho5Pu3Se8. The powder XRD pattern is computed, not measured: it uses the GGA-PBE geometry in Alexandria and a wavelength of 1.5418 Å.
Neutral-atom scattering factors, no anomalous dispersion.

Peak list (8 most intense, 10 to 90 degrees two-theta, sorted by position)
two_theta	Rel. int.	index
26.8	23	2 0 2
30.9	100	0 2 4
44.2	38	2 0 8
44.5	37	2 2 0
55.1	20	4 0 4
73.0	17	2 2 12
73.4	17	2 4 4
81.7	13	4 2 8

Cell and atoms:
```
data_Ho5Pu3Se8
_chemical_formula_sum 'Ho15 Pu9 Se24'
_symmetry_space_group_name_H-M 'R -3 m'
_symmetry_Int_Tables_number 166
_symmetry_space_group_name_Hall '-R 3 2"'
_cell_length_a 8.1511
_cell_length_b 8.1511
_cell_length_c 20.1347
_cell_angle_alpha 90.00
_cell_angle_beta 90.00
_cell_angle_gamma 120.00
loop_
_atom_site_label
_atom_site_fract_x
_atom_site_fract_y
_atom_site_fract_z
Ho1 0.0000 0.0000 0.0000
Ho2 0.0000 0.0000 0.5000
Ho3 0.0000 0.5000 0.0000
Pu1 0.0000 0.5000 0.5000
Se1 0.0000 0.0000 0.2522
Se2 0.0031 0.5015 0.2516
```